The following is a simulated powder X-ray diffraction pattern of Tb4SmHoEr2. It was derived from a crystal structure in Alexandria, relaxed with PBE, using Cu Kα (λ = 1.5418 Å).
Lines closer than 0.1° are merged.

Peak list (5 most intense, 2θ = 5–70°, sorted by position)
d_spacing, I_rel
2.898, 100.0
2.509, 50.6
1.774, 36.0
1.513, 42.8
1.449, 12.3

Atomic structure:
```
data_Tb4SmHoEr2
_space_group_name_H-M_alt 'P 4/m m m'
_space_group_IT_number 123
_space_group_name_Hall '-P 4 2'
_cell_length_a 5.018
_cell_length_b 5.018
_cell_length_c 10.041
_cell_angle_alpha 90.00
_cell_angle_beta 90.00
_cell_angle_gamma 90.00
loop_
_atom_site_label
_atom_site_type_symbol
_atom_site_fract_x
_atom_site_fract_y
_atom_site_fract_z
Tb1 Tb 0.000 0.500 0.248
Sm1 Sm 0.000 0.000 0.500
Ho1 Ho 0.500 0.500 0.000
Er1 Er 0.000 0.000 0.000
Er2 Er 0.500 0.500 0.500
```